# Sm12HoEr5
Theoretical X-ray diffraction stick pattern, λ = 1.5418 Å (Cu Kα). Input: a PBE-relaxed structure.
Lines closer than 0.1° are merged.

Top 6 peaks for 2θ from 5° to 70°, most intense first:
30.51 deg, 2.930 Å, I 100, (3 1 0); 35.34 deg, 2.540 Å, I 34, (0 2 0); 50.88 deg, 1.795 Å, I 30, (3 2 3); 60.46 deg, 1.531 Å, I 29, (3 3 0); 35.47 deg, 2.531 Å, I 17, (3 0 3); 60.63 deg, 1.527 Å, I 14, (6 1 3)

Crystal structure
a = 10.748 Å, b = 5.080 Å, c = 10.767 Å
α = 90.00°, β = 90.20°, γ = 90.00°
Space group P2/m (No. 10)
One atom of each set of equivalent atoms:
1 Sm 0.001 0.000 0.168
2 Sm 0.165 0.500 0.665
3 Sm 0.168 0.500 0.001
4 Sm 0.332 0.000 0.499
5 Sm 0.335 0.000 0.835
6 Sm 0.499 0.500 0.332
7 Ho 0.000 0.000 0.500
8 Er 0.167 0.500 0.333
9 Er 0.333 0.000 0.167
10 Er 0.500 0.500 0.000